# 1
Diffraction record for NbI2ClO. The X-ray powder pattern is theoretical, not measured: it uses a DFT-relaxed cell (PBE, OQMD) and λ = 1.5418 Å (Cu Kα).
Peak positions follow from Bragg's law for the DFT cell and can differ from measured ones.

Top 12 peaks for 2θ = 15–90°, low angle first:
Position (°2θ), intensity
16.7, 555
23.6, 470
23.7, 974
24.9, 466
26.2, 1000
28.2, 689
28.9, 875
29.5, 492
38.3, 452
42.4, 549
43.0, 492
54.7, 425

a = 7.6598 Å, b = 7.6598 Å, c = 12.4346 Å
α = 120.17°, β = 120.17°, γ = 29.94°
Positions (direct):
Nb: 0.1155 0.1155 0.1812
Nb: 0.8845 0.8845 0.8188
I: 0.0632 0.1516 0.3905
I: 0.2800 0.3688 0.2777
I: 0.6312 0.7200 0.7223
I: 0.8484 0.9368 0.6095
Cl: 0.0379 0.1359 0.9581
Cl: 0.8641 0.9621 0.0419
O: 0.3533 0.4269 0.8268
O: 0.5731 0.6467 0.1732

# 2
Diffraction record for Nb3SI6Cl. The X-ray powder pattern is theoretical, not measured: it uses a DFT-relaxed cell (PBE, OQMD) and λ = 1.5418 Å (Cu Kα).
Peak positions follow from Bragg's law for the DFT cell and can differ from measured ones.

Top 12 peaks for 2θ = 15–90°, low angle first:
Position (°2θ), intensity
18.4, 219
24.9, 133
28.4, 113
30.2, 1000
37.4, 416
38.7, 134
47.2, 273
48.5, 226
55.3, 132
58.2, 136
73.0, 110
79.1, 113

a = 7.5071 Å, b = 7.5071 Å, c = 7.1642 Å
α = 90.00°, β = 90.00°, γ = 120.00°
Positions (direct):
Nb: 0.2004 0.4008 0.0000
Nb: 0.2004 0.7996 0.0000
Nb: 0.5992 0.7996 0.0000
S: 0.3333 0.6667 0.2349
I: 0.3395 0.1697 0.2247
I: 0.5032 0.0064 0.7369
I: 0.5032 0.4968 0.7369
I: 0.8303 0.1697 0.2247
I: 0.8303 0.6605 0.2247
I: 0.9936 0.4968 0.7369
Cl: 0.0000 0.0000 0.8440

# 3
Diffraction record for Nb3SI3Cl4. The X-ray powder pattern is theoretical, not measured: it uses a DFT-relaxed cell (PBE, OQMD) and λ = 1.5418 Å (Cu Kα).
Peak positions follow from Bragg's law for the DFT cell and can differ from measured ones.

Top 12 peaks for 2θ = 15–90°, low angle first:
Position (°2θ), intensity
19.5, 279
28.3, 127
30.5, 166
31.4, 1000
37.7, 112
39.5, 562
40.2, 128
50.1, 211
50.5, 257
60.4, 124
78.1, 98
82.2, 98

a = 7.2806 Å, b = 7.2806 Å, c = 6.6084 Å
α = 90.00°, β = 90.00°, γ = 120.00°
Positions (direct):
Nb: 0.2009 0.4018 0.0000
Nb: 0.2009 0.7991 0.0000
Nb: 0.5982 0.7991 0.0000
S: 0.3333 0.6667 0.2614
I: 0.3393 0.1697 0.2468
I: 0.8303 0.1697 0.2468
I: 0.8303 0.6607 0.2468
Cl: 0.0000 0.0000 0.8184
Cl: 0.0100 0.5050 0.7622
Cl: 0.4950 0.5050 0.7622
Cl: 0.4950 0.9900 0.7622

# 4
Diffraction record for Nb3SeI4Cl3. The X-ray powder pattern is theoretical, not measured: it uses a DFT-relaxed cell (PBE, OQMD) and λ = 1.5418 Å (Cu Kα).
Peak positions follow from Bragg's law for the DFT cell and can differ from measured ones.

Top 12 peaks for 2θ = 15–90°, low angle first:
Position (°2θ), intensity
18.7, 158
25.6, 91
29.1, 128
30.5, 1000
36.8, 130
38.0, 503
39.1, 108
48.3, 283
48.8, 219
55.9, 114
58.7, 134
79.7, 110

a = 7.4614 Å, b = 7.4614 Å, c = 6.9662 Å
α = 90.00°, β = 90.00°, γ = 120.00°
Positions (direct):
Nb: 0.0729 0.5365 0.0000
Nb: 0.4635 0.5365 0.0000
Nb: 0.4635 0.9271 0.0000
Se: 0.3333 0.6667 0.2738
I: 0.3282 0.1641 0.2244
I: 0.6667 0.3333 0.7772
I: 0.8359 0.1641 0.2244
I: 0.8359 0.6718 0.2244
Cl: 0.1765 0.3531 0.7750
Cl: 0.1765 0.8235 0.7750
Cl: 0.6469 0.8235 0.7750

# 5
Diffraction record for Nb3SeI6Cl. The X-ray powder pattern is theoretical, not measured: it uses a DFT-relaxed cell (PBE, OQMD) and λ = 1.5418 Å (Cu Kα).
Peak positions follow from Bragg's law for the DFT cell and can differ from measured ones.

Top 12 peaks for 2θ = 15–90°, low angle first:
Position (°2θ), intensity
18.3, 137
24.6, 140
30.0, 1000
37.1, 413
38.5, 99
46.9, 275
48.3, 230
54.9, 134
57.9, 139
69.6, 78
72.5, 108
78.7, 115

a = 7.5396 Å, b = 7.5396 Å, c = 7.2265 Å
α = 90.00°, β = 90.00°, γ = 120.00°
Positions (direct):
Nb: 0.0650 0.5325 0.0000
Nb: 0.4675 0.5325 0.0000
Nb: 0.4675 0.9350 0.0000
Se: 0.3333 0.6667 0.2553
I: 0.1637 0.3274 0.7399
I: 0.1637 0.8363 0.7399
I: 0.3284 0.1642 0.2206
I: 0.6726 0.8363 0.7399
I: 0.8358 0.1642 0.2206
I: 0.8358 0.6716 0.2206
Cl: 0.6667 0.3333 0.8431

# 6
Diffraction record for Nb3SeI3Cl4. The X-ray powder pattern is theoretical, not measured: it uses a DFT-relaxed cell (PBE, OQMD) and λ = 1.5418 Å (Cu Kα).
Peak positions follow from Bragg's law for the DFT cell and can differ from measured ones.

Top 12 peaks for 2θ = 15–90°, low angle first:
Position (°2θ), intensity
19.0, 147
28.1, 154
29.5, 104
31.0, 1000
38.6, 589
39.8, 107
48.9, 277
49.8, 214
51.6, 105
59.8, 128
64.7, 97
81.5, 103

a = 7.3249 Å, b = 7.3249 Å, c = 6.8997 Å
α = 90.00°, β = 90.00°, γ = 120.00°
Positions (direct):
Nb: 0.0677 0.5339 0.0000
Nb: 0.4661 0.5339 0.0000
Nb: 0.4661 0.9323 0.0000
Se: 0.3333 0.6667 0.2734
I: 0.3277 0.1638 0.2334
I: 0.8362 0.1638 0.2334
I: 0.8362 0.6723 0.2334
Cl: 0.1730 0.3461 0.7728
Cl: 0.1730 0.8270 0.7728
Cl: 0.6539 0.8270 0.7728
Cl: 0.6667 0.3333 0.8249

# 7
Diffraction record for NpICl3. The X-ray powder pattern is theoretical, not measured: it uses a DFT-relaxed cell (PBE, OQMD) and λ = 1.5418 Å (Cu Kα).
Peak positions follow from Bragg's law for the DFT cell and can differ from measured ones.

Top 12 peaks for 2θ = 15–90°, low angle first:
Position (°2θ), intensity
18.3, 897
21.7, 520
25.6, 251
28.5, 1000
29.5, 422
30.6, 254
37.0, 421
37.1, 249
37.8, 289
43.3, 272
44.9, 299
54.1, 236

a = 6.5620 Å, b = 8.1899 Å, c = 6.9579 Å
α = 90.00°, β = 92.06°, γ = 90.00°
Positions (direct):
Np: 0.0030 0.2500 0.0006
Np: 0.9970 0.7500 0.9994
I: 0.2853 0.7500 0.3268
I: 0.7147 0.2500 0.6732
Cl: 0.2025 0.5014 0.8441
Cl: 0.2025 0.9986 0.8441
Cl: 0.2519 0.2500 0.2803
Cl: 0.7481 0.7500 0.7197
Cl: 0.7975 0.0014 0.1559
Cl: 0.7975 0.4986 0.1559

# 8
Diffraction record for NpI2Cl2. The X-ray powder pattern is theoretical, not measured: it uses a DFT-relaxed cell (PBE, OQMD) and λ = 1.5418 Å (Cu Kα).
Peak positions follow from Bragg's law for the DFT cell and can differ from measured ones.

Top 12 peaks for 2θ = 15–90°, low angle first:
Position (°2θ), intensity
20.0, 618
24.1, 207
26.7, 1000
31.5, 268
33.6, 582
34.8, 559
40.7, 343
45.6, 337
45.8, 327
49.3, 335
55.0, 168
62.9, 173

a = 8.0727 Å, b = 8.0727 Å, c = 8.0727 Å
α = 113.37°, β = 113.36°, γ = 101.94°
Positions (direct):
Np: 0.2463 0.0000 0.2463
Np: 0.7537 0.0000 0.7537
I: 0.2123 0.2123 0.0000
I: 0.2949 0.7949 0.5000
I: 0.7051 0.2051 0.5000
I: 0.7877 0.7877 0.0000
Cl: 0.2401 0.2810 0.5211
Cl: 0.2401 0.7190 0.9591
Cl: 0.7599 0.2810 0.0409
Cl: 0.7599 0.7190 0.4789

# 9
Diffraction record for Pd2I3Cl3. The X-ray powder pattern is theoretical, not measured: it uses a DFT-relaxed cell (PBE, OQMD) and λ = 1.5418 Å (Cu Kα).
Peak positions follow from Bragg's law for the DFT cell and can differ from measured ones.

Top 12 peaks for 2θ = 15–90°, low angle first:
Position (°2θ), intensity
15.2, 506
15.4, 1000
20.8, 281
30.0, 617
30.3, 758
32.3, 395
39.4, 702
40.8, 169
42.3, 211
46.8, 317
51.5, 163
57.1, 176

a = 6.6714 Å, b = 6.2936 Å, c = 6.6734 Å
α = 90.00°, β = 119.13°, γ = 90.00°
Positions (direct):
Pd: 0.0000 0.2504 0.0000
Pd: 0.0000 0.7496 0.0000
I: 0.3050 0.0000 0.9586
I: 0.3401 0.5000 0.3529
I: 0.6513 0.0000 0.6550
Cl: 0.0106 0.5000 0.7353
Cl: 0.7226 0.5000 0.0231
Cl: 0.9938 0.0000 0.2681

# 10
Diffraction record for Rb2PdI2Cl2. The X-ray powder pattern is theoretical, not measured: it uses a DFT-relaxed cell (PBE, OQMD) and λ = 1.5418 Å (Cu Kα).
Peak positions follow from Bragg's law for the DFT cell and can differ from measured ones.

Top 12 peaks for 2θ = 15–90°, low angle first:
Position (°2θ), intensity
18.4, 219
19.0, 278
24.2, 1000
28.7, 172
29.9, 387
30.5, 635
34.6, 207
37.2, 220
38.5, 234
44.9, 310
49.5, 188
49.8, 192

a = 9.6582 Å, b = 11.9426 Å, c = 4.6785 Å
α = 90.00°, β = 90.00°, γ = 90.00°
Positions (direct):
Rb: 0.2500 0.2500 0.0000
Rb: 0.2500 0.7500 0.0000
Rb: 0.7500 0.2500 0.0000
Rb: 0.7500 0.7500 0.0000
Pd: 0.0000 0.0000 0.5000
Pd: 0.5000 0.5000 0.5000
I: 0.2254 0.5000 0.5000
I: 0.2746 0.0000 0.5000
I: 0.7254 0.0000 0.5000
I: 0.7746 0.5000 0.5000
Cl: 0.0000 0.1963 0.5000
Cl: 0.0000 0.8037 0.5000
Cl: 0.5000 0.3037 0.5000
Cl: 0.5000 0.6963 0.5000

# 11
Diffraction record for Rb2PdI2Cl2. The X-ray powder pattern is theoretical, not measured: it uses a DFT-relaxed cell (PBE, OQMD) and λ = 1.5418 Å (Cu Kα).
Peak positions follow from Bragg's law for the DFT cell and can differ from measured ones.

Top 12 peaks for 2θ = 15–90°, low angle first:
Position (°2θ), intensity
19.2, 402
22.3, 771
25.1, 938
25.5, 430
29.9, 1000
32.4, 936
38.0, 294
38.9, 337
41.4, 327
46.3, 464
46.5, 281
51.5, 485

a = 4.6279 Å, b = 7.8128 Å, c = 7.8034 Å
α = 90.00°, β = 90.00°, γ = 90.00°
Positions (direct):
Rb: 0.0000 0.0000 0.0000
Rb: 0.0000 0.5000 0.3987
Pd: 0.5000 0.0000 0.4471
I: 0.5000 0.2349 0.6833
I: 0.5000 0.7651 0.6833
Cl: 0.5000 0.2166 0.2304
Cl: 0.5000 0.7834 0.2304

# 12
Diffraction record for Rb2PdI3Cl. The X-ray powder pattern is theoretical, not measured: it uses a DFT-relaxed cell (PBE, OQMD) and λ = 1.5418 Å (Cu Kα).
Peak positions follow from Bragg's law for the DFT cell and can differ from measured ones.

Top 12 peaks for 2θ = 15–90°, low angle first:
Position (°2θ), intensity
18.6, 455
21.7, 372
24.0, 613
29.2, 1000
30.2, 457
33.1, 370
37.8, 290
41.3, 246
45.4, 254
49.1, 234
51.1, 211
60.5, 235

a = 4.7660 Å, b = 10.8116 Å, c = 11.8565 Å
α = 90.00°, β = 90.00°, γ = 90.00°
Positions (direct):
Rb: 0.0000 0.2231 0.0000
Rb: 0.0000 0.2769 0.5000
Rb: 0.0000 0.7231 0.5000
Rb: 0.0000 0.7769 0.0000
Pd: 0.5000 0.0000 0.2488
Pd: 0.5000 0.5000 0.7488
I: 0.5000 0.0000 0.4690
I: 0.5000 0.2449 0.2490
I: 0.5000 0.2551 0.7490
I: 0.5000 0.5000 0.9690
I: 0.5000 0.7449 0.7490
I: 0.5000 0.7551 0.2490
Cl: 0.5000 0.0000 0.0460
Cl: 0.5000 0.5000 0.5460

# 13
Diffraction record for Pr2ICl5. The X-ray powder pattern is theoretical, not measured: it uses a DFT-relaxed cell (PBE, OQMD) and λ = 1.5418 Å (Cu Kα).
Peak positions follow from Bragg's law for the DFT cell and can differ from measured ones.

Top 12 peaks for 2θ = 15–90°, low angle first:
Position (°2θ), intensity
22.3, 603
24.3, 421
24.7, 1000
30.5, 445
31.0, 423
33.1, 984
34.0, 773
34.5, 939
40.8, 661
41.7, 459
41.8, 563
42.2, 452

a = 7.4829 Å, b = 4.3219 Å, c = 7.7763 Å
α = 90.00°, β = 116.99°, γ = 90.00°
Positions (direct):
Pr: 0.0000 0.0000 0.0000
Pr: 0.3445 0.5000 0.6716
I: 0.9216 0.5000 0.2700
Cl: 0.0782 0.0000 0.6676
Cl: 0.2729 0.5000 0.0373
Cl: 0.3646 0.0000 0.4251
Cl: 0.5691 0.0000 0.9237
Cl: 0.7644 0.5000 0.7352

# 14
Diffraction record for Tm2S2ICl. The X-ray powder pattern is theoretical, not measured: it uses a DFT-relaxed cell (PBE, OQMD) and λ = 1.5418 Å (Cu Kα).
Peak positions follow from Bragg's law for the DFT cell and can differ from measured ones.

Top 12 peaks for 2θ = 15–90°, low angle first:
Position (°2θ), intensity
19.5, 1000
24.4, 148
29.7, 535
30.1, 930
33.8, 364
41.0, 168
41.8, 355
45.2, 158
45.9, 572
49.7, 171
54.1, 148
57.6, 152

a = 4.0092 Å, b = 5.3075 Å, c = 8.8071 Å
α = 90.00°, β = 90.00°, γ = 90.00°
Positions (direct):
Tm: 0.0000 0.0000 0.0000
Tm: 0.5000 0.5000 0.2509
S: 0.0000 0.5000 0.0425
S: 0.5000 0.0000 0.2057
I: 0.5000 0.0000 0.7476
Cl: 0.0000 0.5000 0.4466